SrCu4Sn2: computed powder XRD pattern (Cu Kα X-rays), based on a DFT-relaxed cell (GGA-PBE, Alexandria).
Intensities are scaled so that the largest is 100.

Peak list (12 most intense, 2θ from 10° to 90°, sorted by position)
- 15.27 deg, rel. 21, (1 1 0)
- 26.79 deg, rel. 12, (2 1 1)
- 27.29 deg, rel. 11, (1 1 2)
- 31.42 deg, rel. 25, (2 0 2)
- 34.57 deg, rel. 77, (3 1 0)
- 42.21 deg, rel. 100, (2 1 3)
- 44.16 deg, rel. 15, (4 0 0)
- 46.99 deg, rel. 14, (3 3 0)
- 52.69 deg, rel. 11, (3 3 2)
- 58.08 deg, rel. 12, (4 1 3)
- 71.54 deg, rel. 29, (5 2 3)
- 88.09 deg, rel. 11, (4 0 6)

Cell and atoms:
```
data_SrCu4Sn2
_cell_length_a 8.2038
_cell_length_b 8.2038
_cell_length_c 7.9086
_cell_angle_alpha 90.00
_cell_angle_beta 90.00
_cell_angle_gamma 90.00
_symmetry_space_group_name_H-M 'I 4/m c m'
_symmetry_Int_Tables_number 140
_symmetry_space_group_name_Hall '-I 4 2c'
loop_
_atom_site_label
_atom_site_type_symbol
_atom_site_fract_x
_atom_site_fract_y
_atom_site_fract_z
_atom_site_occupancy
Sr1 Sr 0.0000 0.0000 0.2500 1
Cu1 Cu 0.1346 0.3654 0.1615 1
Sn1 Sn 0.1622 0.3378 0.5000 1
```